This entry pairs a crystal structure of BaSb2F12 with its computed X-ray powder pattern. Radiation: copper Kα. Structure: a crystal structure in the Materials Project, relaxed with GGA-PBE.
Lines closer than 0.1° are merged.

Main lines, sorted by position (2θ from 15° to 90°):
two_theta  I/Imax  h k l
17.77  582  0 1 0
19.03  689  1 -1 0
19.14  746  1 0 -1
19.61  799  1 0 0
21.73  1000  0 1 1
22.71  735  1 -1 1
23.32  819  1 0 -2
24.24  984  0 1 -2
24.44  676  1 0 1
25.31  758  -1 1 2
31.44  543  1 -2 0
40.55  577  1 0 3

Crystal structure
```
data_BaSb2F12
_chemical_formula_sum 'Ba1 Sb2 F12'
_cell_length_a 5.350
_cell_length_b 5.710
_cell_length_c 9.476
_cell_angle_alpha 91.62
_cell_angle_beta 104.43
_cell_angle_gamma 117.56
_symmetry_space_group_name_H-M 'P 1'
_symmetry_Int_Tables_number 1
loop_
_symmetry_equiv_pos_as_xyz
'x,y,z'
loop_
_atom_site_label
_atom_site_type_symbol
_atom_site_fract_x
_atom_site_fract_y
_atom_site_fract_z
Ba1 Ba 0.000 0.000 0.000
Sb1 Sb 0.085 0.526 0.679
Sb2 Sb 0.430 0.712 0.260
F1 F 0.087 0.545 0.080
F2 F 0.228 0.396 0.335
F3 F 0.234 0.903 0.299
F4 F 0.268 0.310 0.675
F5 F 0.327 0.786 0.583
F6 F 0.398 0.733 0.866
F7 F 0.576 0.529 0.153
F8 F 0.610 0.002 0.151
F9 F 0.770 0.868 0.424
F10 F 0.776 0.352 0.500
F11 F 0.863 0.275 0.794
F12 F 0.916 0.740 0.733
```

=====

This entry pairs a crystal structure of BaSbF7 with its computed X-ray powder pattern. Radiation: copper Kα. Structure: a crystal structure in the Materials Project, relaxed with GGA-PBE.
Lines closer than 0.1° are merged.

Main lines, sorted by position (2θ from 15° to 90°):
two_theta  I/Imax  h k l
19.60  852  0 2 1
20.05  773  1 1 1
22.47  644  1 0 -2
24.18  426  1 1 -2
24.83  1000  1 2 -1
25.14  817  1 1 2
26.99  492  0 1 3
37.17  308  0 3 3
38.73  283  0 2 4
40.30  424  1 4 1
50.36  360  1 2 5
51.63  246  3 2 -1

Crystal structure
```
data_BaSbF7
_chemical_formula_sum 'Ba4 Sb4 F28'
_cell_length_a 5.730
_cell_length_b 10.045
_cell_length_c 10.503
_cell_angle_alpha 90.00
_cell_angle_beta 92.55
_cell_angle_gamma 90.00
_symmetry_space_group_name_H-M 'P 1 21/c 1'
_symmetry_Int_Tables_number 14
loop_
_symmetry_equiv_pos_as_xyz
'x,y,z'
'-x,-y,-z'
'-x,y+1/2,-z+1/2'
'x,-y+1/2,z+1/2'
loop_
_atom_site_label
_atom_site_type_symbol
_atom_site_fract_x
_atom_site_fract_y
_atom_site_fract_z
Ba1 Ba 0.193 0.171 0.007
Sb1 Sb 0.316 0.613 0.187
F1 F 0.032 0.692 0.242
F2 F 0.116 0.543 0.611
F3 F 0.158 0.047 0.637
F4 F 0.247 0.694 0.023
F5 F 0.383 0.546 0.357
F6 F 0.398 0.049 0.376
F7 F 0.495 0.733 0.740
```

=====

This entry pairs a crystal structure of Ba2ZnSb2F with its computed X-ray powder pattern. Radiation: copper Kα. Structure: a crystal structure in the Materials Project, relaxed with GGA-PBE.
Lines closer than 0.1° are merged.

Main lines, sorted by position (2θ from 15° to 90°):
two_theta  I/Imax  h k l
21.04  212  0 0 4
23.96  1000  1 0 0
31.80  149  0 0 6
32.10  295  1 0 4
34.14  399  1 1 0
40.20  310  1 0 6
40.45  157  1 1 4
47.35  192  1 1 6
49.06  140  2 0 0
55.31  194  2 1 0
59.84  100  2 1 4
65.22  143  2 1 6

Crystal structure
```
data_Ba2ZnSb2F
_chemical_formula_sum 'Ba2 Zn1 Sb2 F1'
_cell_length_a 3.714
_cell_length_b 3.714
_cell_length_c 16.886
_cell_angle_alpha 90.00
_cell_angle_beta 90.00
_cell_angle_gamma 90.00
_symmetry_space_group_name_H-M 'P 4/m m m'
_symmetry_Int_Tables_number 123
_symmetry_space_group_name_Hall '-P 4 2'
loop_
_atom_site_label
_atom_site_type_symbol
_atom_site_fract_x
_atom_site_fract_y
_atom_site_fract_z
Ba1 Ba 0.000 0.000 0.145
Zn1 Zn 0.000 0.000 0.500
Sb1 Sb 0.000 0.000 0.350
F1 F 0.000 0.000 0.000
```

=====

This entry pairs a crystal structure of BaSnF4 with its computed X-ray powder pattern. Radiation: copper Kα. Structure: a crystal structure in the Materials Project, relaxed with GGA-PBE.
Lines closer than 0.1° are merged.

Main lines, sorted by position (2θ from 15° to 90°):
two_theta  I/Imax  h k l
25.26  1000  0 1 2
25.53  325  0 0 6
29.33  316  1 0 4
41.78  446  1 1 0
42.13  429  0 1 8
49.45  163  2 0 2
49.61  323  1 1 6
49.91  158  1 0 10
60.84  137  2 0 8
66.68  136  1 2 2
76.52  138  1 2 8
81.98  79  3 0 6

Crystal structure
```
data_BaSnF4
_chemical_formula_sum 'Ba3 Sn3 F12'
_cell_length_a 4.3240
_cell_length_b 4.3240
_cell_length_c 20.9318
_cell_angle_alpha 90.00
_cell_angle_beta 90.00
_cell_angle_gamma 120.00
_symmetry_space_group_name_H-M 'R -3 m'
_symmetry_Int_Tables_number 166
_symmetry_space_group_name_Hall '-R 3 2"'
loop_
_atom_site_label
_atom_site_type_symbol
_atom_site_fract_x
_atom_site_fract_y
_atom_site_fract_z
Ba1 Ba 0.0000 0.0000 0.0000
Sn1 Sn 0.0000 0.0000 0.5000
F1 F 0.0000 0.0000 0.1300
F2 F 0.0000 0.0000 0.3799
```

=====

This entry pairs a crystal structure of BaSnF4 with its computed X-ray powder pattern. Radiation: copper Kα. Structure: a crystal structure in the Materials Project, relaxed with GGA-PBE.
Lines closer than 0.1° are merged.

Main lines, sorted by position (2θ from 15° to 90°):
two_theta  I/Imax  h k l
25.65  1000  1 0 2
28.54  306  1 1 0
31.92  139  0 0 4
40.81  284  2 0 0
43.34  323  1 1 4
48.83  357  2 1 2
52.72  138  2 0 4
53.20  160  1 0 6
65.45  91  3 0 2
69.15  149  2 1 6
76.05  124  3 1 4
80.08  98  3 2 2

Crystal structure
```
data_BaSnF4
_chemical_formula_sum 'Ba2 Sn2 F8'
_cell_length_a 4.423
_cell_length_b 4.423
_cell_length_c 11.215
_cell_angle_alpha 90.00
_cell_angle_beta 90.00
_cell_angle_gamma 90.00
_symmetry_space_group_name_H-M 'P 4/n m m'
_symmetry_Int_Tables_number 129
loop_
_symmetry_equiv_pos_as_xyz
'x,y,z'
'-x,-y,-z'
'-y+1/2,x,z'
'y+1/2,-x,-z'
'-x+1/2,-y+1/2,z'
'x+1/2,y+1/2,-z'
'y,-x+1/2,z'
'-y,x+1/2,-z'
'x+1/2,-y,-z'
'-x+1/2,y,z'
'-y,-x,-z'
'y,x,z'
'-x,y+1/2,-z'
'x,-y+1/2,z'
'y+1/2,x+1/2,-z'
'-y+1/2,-x+1/2,z'
loop_
_atom_site_label
_atom_site_type_symbol
_atom_site_fract_x
_atom_site_fract_y
_atom_site_fract_z
Ba1 Ba 0.250 0.250 0.132
Sn1 Sn 0.250 0.250 0.629
F1 F 0.250 0.250 0.817
F2 F 0.250 0.750 0.000
F3 F 0.250 0.750 0.313
```

=====

This entry pairs a crystal structure of Ba2Sn2F11 with its computed X-ray powder pattern. Radiation: copper Kα. Structure: a crystal structure in the Materials Project, relaxed with GGA-PBE.
Lines closer than 0.1° are merged.

Main lines, sorted by position (2θ from 15° to 90°):
two_theta  I/Imax  h k l
22.11  430  0 1 3
23.56  1000  2 -1 1
25.74  285  1 1 2
27.19  499  0 1 4
28.99  369  2 0 2
32.65  177  0 1 5
37.18  242  2 1 2
39.62  247  3 -1 3
41.87  219  0 3 2
46.99  187  2 2 1
50.48  147  1 0 8
51.12  211  1 2 6

Crystal structure
```
data_Ba2Sn2F11
_chemical_formula_sum 'Ba6 Sn6 F33'
_cell_length_a 7.8043
_cell_length_b 7.8043
_cell_length_c 15.0017
_cell_angle_alpha 90.00
_cell_angle_beta 90.00
_cell_angle_gamma 120.00
_symmetry_space_group_name_H-M 'P 32'
_symmetry_Int_Tables_number 145
loop_
_symmetry_equiv_pos_as_xyz
'x,y,z'
'-y,x-y,z+2/3'
'-x+y,-x,z+1/3'
loop_
_atom_site_label
_atom_site_type_symbol
_atom_site_fract_x
_atom_site_fract_y
_atom_site_fract_z
Ba1 Ba 0.1446 0.4136 0.0000
Ba2 Ba 0.5164 0.1471 0.8481
Sn1 Sn 0.0305 0.5719 0.7553
Sn2 Sn 0.2023 0.0406 0.5847
F1 F 0.0347 0.7466 0.6043
F2 F 0.1030 0.0434 0.9298
F3 F 0.1549 0.4836 0.6573
F4 F 0.1601 0.0440 0.4525
F5 F 0.2547 0.5770 0.4688
F6 F 0.2680 0.0899 0.7138
F7 F 0.3524 0.0217 0.1641
F8 F 0.3944 0.3363 0.5715
F9 F 0.4141 0.3571 0.0456
F10 F 0.4277 0.0010 0.5450
F11 F 0.5515 0.2853 0.3731
```

=====

This entry pairs a crystal structure of BaTbF6 with its computed X-ray powder pattern. Radiation: copper Kα. Structure: a crystal structure in the Materials Project, relaxed with GGA-PBE.
Lines closer than 0.1° are merged.

Main lines, sorted by position (2θ from 15° to 90°):
two_theta  I/Imax  h k l
20.89  225  1 -2 0
22.95  861  0 2 0
24.46  770  1 -1 2
24.87  657  1 1 -2
24.98  391  -1 1 2
26.50  1000  2 0 0
33.67  229  1 -3 2
40.61  173  2 2 -1
41.71  191  -2 3 2
42.46  211  0 0 4
42.56  271  1 -4 0
51.12  189  -1 2 4

Crystal structure
```
data_BaTbF6
_chemical_formula_sum 'Ba4 Tb4 F24'
_cell_length_a 7.523
_cell_length_b 8.808
_cell_length_c 8.943
_cell_angle_alpha 102.21
_cell_angle_beta 96.59
_cell_angle_gamma 113.46
_symmetry_space_group_name_H-M 'P -1'
_symmetry_Int_Tables_number 2
loop_
_symmetry_equiv_pos_as_xyz
'x,y,z'
'-x,-y,-z'
loop_
_atom_site_label
_atom_site_type_symbol
_atom_site_fract_x
_atom_site_fract_y
_atom_site_fract_z
Ba1 Ba 0.201 0.184 0.233
Ba2 Ba 0.212 0.734 0.457
Tb1 Tb 0.270 0.718 0.938
Tb2 Tb 0.326 0.238 0.724
F1 F 0.000 0.500 0.000
F2 F 0.011 0.871 0.299
F3 F 0.019 0.602 0.718
F4 F 0.098 0.872 0.004
F5 F 0.186 0.322 0.532
F6 F 0.193 0.952 0.710
F7 F 0.260 0.454 0.859
F8 F 0.371 0.779 0.204
F9 F 0.379 0.110 0.497
F10 F 0.404 0.260 0.985
F11 F 0.410 0.535 0.306
F12 F 0.410 0.744 0.731
F13 F 0.500 0.000 0.000
```

=====

This entry pairs a crystal structure of BaTbF6 with its computed X-ray powder pattern. Radiation: copper Kα. Structure: a crystal structure in the Materials Project, relaxed with GGA-PBE.
Lines closer than 0.1° are merged.

Main lines, sorted by position (2θ from 15° to 90°):
two_theta  I/Imax  h k l
21.75  1000  0 2 1
26.71  438  2 2 0
27.61  438  2 0 1
29.33  141  0 4 0
40.72  355  2 4 1
42.56  285  2 2 2
44.34  159  0 4 2
47.75  105  0 6 1
50.44  149  2 6 0
50.94  201  4 2 1
55.04  118  4 4 0
68.07  165  2 8 1

Crystal structure
```
data_BaTbF6
_chemical_formula_sum 'Ba4 Tb4 F24'
_cell_length_a 7.979
_cell_length_b 12.180
_cell_length_c 5.509
_cell_angle_alpha 90.00
_cell_angle_beta 90.00
_cell_angle_gamma 90.00
_symmetry_space_group_name_H-M 'C m m e'
_symmetry_Int_Tables_number 67
_symmetry_space_group_name_Hall '-C 2a 2'
loop_
_atom_site_label
_atom_site_type_symbol
_atom_site_fract_x
_atom_site_fract_y
_atom_site_fract_z
Ba1 Ba 0.000 0.250 0.080
Tb1 Tb 0.250 0.000 0.500
F1 F 0.000 0.056 0.315
F2 F 0.198 0.142 0.756
```

=====

This entry pairs a crystal structure of BaTe2F10 with its computed X-ray powder pattern. Radiation: copper Kα. Structure: a crystal structure in the Materials Project, relaxed with GGA-PBE.
Lines closer than 0.1° are merged.

Main lines, sorted by position (2θ from 15° to 90°):
two_theta  I/Imax  h k l
22.50  528  4 0 -2
24.32  627  3 1 0
24.77  1000  1 1 -2
32.95  185  6 0 0
34.38  88  2 0 -4
40.31  190  7 1 -2
41.21  191  5 1 -4
43.06  342  5 1 2
43.87  195  1 1 4
44.41  92  2 2 2
53.87  101  6 0 -6
62.51  97  11 1 -4

Crystal structure
```
data_BaTe2F10
_chemical_formula_sum 'Ba4 Te8 F40'
_cell_length_a 17.651
_cell_length_b 4.952
_cell_length_c 10.480
_cell_angle_alpha 90.00
_cell_angle_beta 112.54
_cell_angle_gamma 90.00
_symmetry_space_group_name_H-M 'C 1 2/c 1'
_symmetry_Int_Tables_number 15
loop_
_symmetry_equiv_pos_as_xyz
'x,y,z'
'-x,-y,-z'
'-x,y,-z+1/2'
'x,-y,z+1/2'
'x+1/2,y+1/2,z'
'-x+1/2,-y+1/2,-z'
'-x+1/2,y+1/2,-z+1/2'
'x+1/2,-y+1/2,z+1/2'
loop_
_atom_site_label
_atom_site_type_symbol
_atom_site_fract_x
_atom_site_fract_y
_atom_site_fract_z
Ba1 Ba 0.000 0.043 0.250
Te1 Te 0.158 0.444 0.568
F1 F 0.061 0.240 0.553
F2 F 0.074 0.433 0.878
F3 F 0.107 0.295 0.156
F4 F 0.168 0.110 0.463
F5 F 0.202 0.246 0.744
```

=====

This entry pairs a crystal structure of Ba3TiF12 with its computed X-ray powder pattern. Radiation: copper Kα. Structure: a crystal structure in the Materials Project, relaxed with GGA-PBE.
Lines closer than 0.1° are merged.

Main lines, sorted by position (2θ from 15° to 90°):
two_theta  I/Imax  h k l
18.82  1000  0 2 1
21.78  238  2 0 -1
22.49  321  1 3 0
23.41  736  2 2 0
24.39  211  2 0 1
33.64  392  2 2 -2
35.15  210  2 4 -1
37.17  316  2 2 2
38.18  351  0 4 2
42.23  284  2 0 -3
45.91  200  2 6 0
47.87  197  4 4 0

Crystal structure
```
data_Ba3TiF12
_chemical_formula_sum 'Ba6 Ti2 F24'
_cell_length_a 9.402
_cell_length_b 13.093
_cell_length_c 6.842
_cell_angle_alpha 90.00
_cell_angle_beta 96.84
_cell_angle_gamma 90.00
_symmetry_space_group_name_H-M 'C 1 2/m 1'
_symmetry_Int_Tables_number 12
loop_
_symmetry_equiv_pos_as_xyz
'x,y,z'
'-x,-y,-z'
'-x,y,-z'
'x,-y,z'
'x+1/2,y+1/2,z'
'-x+1/2,-y+1/2,-z'
'-x+1/2,y+1/2,-z'
'x+1/2,-y+1/2,z'
loop_
_atom_site_label
_atom_site_type_symbol
_atom_site_fract_x
_atom_site_fract_y
_atom_site_fract_z
Ba1 Ba 0.000 0.000 0.000
Ba2 Ba 0.250 0.250 0.500
Ti1 Ti 0.000 0.000 0.500
F1 F 0.015 0.316 0.648
F2 F 0.119 0.091 0.318
F3 F 0.133 0.090 0.676
```

=====

> Number 4 is which compound?

BaSnF4